1.
La8Al7InO24: calculated powder X-ray diffraction pattern (Cu Kα, 1.54184 Å), based on a crystal structure in the Materials Project, relaxed with PBE.
Kinematic intensities with the Lorentz-polarization factor, no thermal factor.

Most intense lines, 2θ from 10° to 90°, in order of rising 2θ:
| 2θ/deg | d_spacing | intensity |
| --- | --- | --- |
| 23.04 | 3.860 | 30.9 |
| 32.81 | 2.729 | 100.0 |
| 40.48 | 2.229 | 31.9 |
| 47.09 | 1.930 | 34.8 |
| 53.05 | 1.726 | 14.6 |
| 58.58 | 1.576 | 38.7 |
| 68.79 | 1.365 | 20.4 |
| 73.62 | 1.287 | 7.1 |
| 78.33 | 1.221 | 17.0 |
| 82.97 | 1.164 | 9.6 |

Cell and atoms:
```
La8Al7InO24
1.0
7.720 0.000 0.000
0.000 7.720 0.000
0.000 0.000 7.720
La Al In O
8 7 1 24
Cartesian
1.905 1.905 1.905
1.905 1.905 5.815
1.905 5.815 1.905
1.905 5.815 5.815
5.815 1.905 1.905
5.815 1.905 5.815
5.815 5.815 1.905
5.815 5.815 5.815
0.000 0.000 0.000
0.000 0.000 3.860
0.000 3.860 0.000
0.000 3.860 3.860
3.860 0.000 0.000
3.860 0.000 3.860
3.860 3.860 0.000
3.860 3.860 3.860
0.000 0.000 1.916
0.000 0.000 5.804
0.000 1.906 3.860
0.000 1.916 0.000
0.000 3.860 1.906
0.000 3.860 5.814
0.000 5.804 0.000
0.000 5.814 3.860
1.798 3.860 3.860
1.906 0.000 3.860
1.906 3.860 0.000
1.916 0.000 0.000
3.860 0.000 1.906
3.860 0.000 5.814
3.860 1.798 3.860
3.860 1.906 0.000
3.860 3.860 1.798
3.860 3.860 5.922
3.860 5.814 0.000
3.860 5.922 3.860
5.804 0.000 0.000
5.814 0.000 3.860
5.814 3.860 0.000
5.922 3.860 3.860
```

2.
Mg17Al11In: calculated powder X-ray diffraction pattern (Cu Kα, 1.54184 Å), based on a crystal structure in the Materials Project, relaxed with PBE.
Kinematic intensities with the Lorentz-polarization factor, no thermal factor.

Most intense lines, 2θ from 10° to 90°, in order of rising 2θ:
| 2θ/deg | d_spacing | intensity |
| --- | --- | --- |
| 11.79 | 7.509 | 35.5 |
| 20.45 | 4.344 | 17.1 |
| 20.56 | 4.320 | 20.0 |
| 35.80 | 2.508 | 29.1 |
| 35.89 | 2.502 | 100.0 |
| 35.98 | 2.496 | 45.9 |
| 39.67 | 2.272 | 19.5 |
| 39.97 | 2.256 | 33.4 |
| 43.52 | 2.080 | 20.1 |
| 64.56 | 1.444 | 15.9 |

Cell and atoms:
```
Mg17Al11In
1.0
5.306 -7.468 0.000
5.306 7.468 0.000
-5.281 0.000 7.536
Mg Al In
17 11 1
Cartesian
0.000 0.000 0.000
3.350 4.504 0.180
-2.951 0.000 4.737
0.340 5.076 5.604
3.644 2.605 2.542
1.801 0.000 2.556
0.321 2.362 7.117
3.369 4.491 4.951
0.045 0.000 5.161
3.350 -4.504 0.180
6.732 2.180 2.556
0.321 -2.362 7.117
3.644 -2.605 2.542
7.573 0.000 0.417
0.340 -5.076 5.604
3.369 -4.491 4.951
6.732 -2.180 2.556
-2.512 1.393 7.338
4.210 6.112 2.569
0.868 2.731 3.952
-2.512 -1.393 7.338
6.160 4.741 1.174
4.752 0.000 1.083
2.747 1.403 5.362
0.868 -2.731 3.952
2.747 -1.403 5.362
6.160 -4.741 1.174
4.210 -6.112 2.569
4.830 0.000 3.917
```

3.
Al2InN3: calculated powder X-ray diffraction pattern (Cu Kα, 1.54184 Å), based on a crystal structure in the Materials Project, relaxed with PBE.
Kinematic intensities with the Lorentz-polarization factor, no thermal factor.

Most intense lines, 2θ from 10° to 90°, in order of rising 2θ:
| 2θ/deg | d_spacing | intensity |
| --- | --- | --- |
| 18.05 | 4.913 | 52.0 |
| 24.85 | 3.582 | 66.2 |
| 31.59 | 2.833 | 51.0 |
| 34.17 | 2.624 | 39.9 |
| 36.02 | 2.493 | 100.0 |
| 38.91 | 2.314 | 21.4 |
| 47.22 | 1.925 | 23.0 |
| 56.30 | 1.634 | 21.7 |
| 62.39 | 1.488 | 32.4 |
| 67.53 | 1.387 | 19.1 |

Cell and atoms:
```
Al2InN3
1.0
4.917 -2.828 0.000
4.917 2.828 0.000
0.000 0.000 5.248
Al In N
4 2 6
Cartesian
1.689 0.923 0.000
1.689 -0.923 2.624
8.146 0.923 0.000
8.146 -0.923 2.624
4.917 1.007 5.221
4.917 -1.007 2.598
1.823 0.838 1.909
4.917 1.143 2.177
1.823 -0.838 4.533
8.011 0.838 1.909
4.917 -1.143 4.800
8.011 -0.838 4.533
```

4.
AlInN2: calculated powder X-ray diffraction pattern (Cu Kα, 1.54184 Å), based on a crystal structure in the Materials Project, relaxed with PBE.
Kinematic intensities with the Lorentz-polarization factor, no thermal factor.

Most intense lines, 2θ from 10° to 90°, in order of rising 2θ:
| 2θ/deg | d_spacing | intensity |
| --- | --- | --- |
| 20.33 | 4.369 | 40.2 |
| 21.10 | 4.210 | 51.8 |
| 30.87 | 2.896 | 48.5 |
| 33.11 | 2.706 | 55.5 |
| 35.14 | 2.554 | 100.0 |
| 35.29 | 2.543 | 54.6 |
| 45.90 | 1.977 | 24.3 |
| 55.11 | 1.667 | 32.6 |
| 60.50 | 1.530 | 46.6 |
| 65.82 | 1.419 | 27.5 |

Cell and atoms:
```
AlInN2
1.0
5.763 0.000 0.000
0.000 6.700 0.000
0.000 0.000 5.411
Al In N
4 4 8
Cartesian
0.439 0.842 0.000
2.443 4.192 2.706
3.320 2.509 0.000
5.324 5.859 2.706
0.524 4.178 5.397
2.357 0.828 2.692
3.406 5.872 5.397
5.239 2.522 2.692
0.341 0.688 1.899
0.603 4.339 2.184
2.279 0.988 4.889
2.540 4.038 4.604
3.223 2.662 1.899
3.484 5.712 2.184
5.161 2.362 4.889
5.422 6.012 4.604
```

5.
AlInN2: calculated powder X-ray diffraction pattern (Cu Kα, 1.54184 Å), based on a crystal structure in the Materials Project, relaxed with PBE.
Kinematic intensities with the Lorentz-polarization factor, no thermal factor.

Most intense lines, 2θ from 10° to 90°, in order of rising 2θ:
| 2θ/deg | d_spacing | intensity |
| --- | --- | --- |
| 21.03 | 4.225 | 48.5 |
| 32.94 | 2.719 | 100.0 |
| 34.62 | 2.591 | 18.7 |
| 37.92 | 2.373 | 22.8 |
| 38.83 | 2.319 | 10.3 |
| 43.75 | 2.069 | 19.3 |
| 54.70 | 1.678 | 13.9 |
| 55.39 | 1.659 | 27.3 |
| 65.35 | 1.428 | 25.6 |
| 66.59 | 1.404 | 12.1 |

Cell and atoms:
```
AlInN2
1.0
-2.373 2.373 4.639
2.373 -2.373 4.639
2.373 2.373 -4.639
Al In N
2 2 4
Cartesian
0.000 0.000 0.000
0.000 2.373 2.319
2.373 0.000 2.319
0.000 0.000 4.639
3.559 0.952 -1.160
0.952 1.186 1.160
-1.186 1.421 3.479
1.421 1.186 5.799
```